Diffraction record for MgPd3. The powder diffractogram is theoretical, not measured: it uses a crystal structure in Alexandria, relaxed with PBE and copper Kα.

Atomic structure:
a b c (Å): 2.8712 2.8712 26.4119
angles (deg): 90.00 90.00 120.00
Space group R-3m (No. 166, hexagonal axes)
Asymmetric unit:
Mg1 0.0000 0.0000 0.0000 x3
Pd1 0.0000 0.0000 0.2538 x6
Pd2 0.0000 0.0000 0.5000 x3

The 12 most intense peaks (10° ≤ 2θ ≤ 80°), low angle first:
d (Å)  2θ/deg  Rel. int.
8.804  10.05  30
4.402  20.17  9
2.935  30.46  9
2.476  36.29  8
2.327  38.69  100
2.250  40.08  9
2.201  41.01  27
1.986  45.68  61
1.436  64.96  21
1.375  68.19  17
1.222  78.24  12
1.202  79.75  22